[1]
The following is a simulated powder diffraction line list of Pm6Dy12Er. It was derived from a DFT-relaxed cell (GGA-PBE, Alexandria), using Cu Kα.
Peak positions follow from Bragg's law for the DFT cell and can differ from measured ones.

Atomic structure:
Cell: 9.363 9.363 9.363 Å, 107.57 107.57 107.57°
Sites, in units of the cell vectors:
Pm 0.293 0.676 0.676
Pm 0.324 0.324 0.707
Pm 0.324 0.707 0.324
Pm 0.676 0.293 0.676
Pm 0.676 0.676 0.293
Pm 0.707 0.324 0.324
Dy 0.082 0.317 0.317
Dy 0.111 0.500 0.889
Dy 0.111 0.889 0.500
Dy 0.317 0.082 0.317
Dy 0.317 0.317 0.082
Dy 0.500 0.111 0.889
Dy 0.500 0.889 0.111
Dy 0.683 0.683 0.918
Dy 0.683 0.918 0.683
Dy 0.889 0.111 0.500
Dy 0.889 0.500 0.111
Dy 0.918 0.683 0.683
Er 0.000 0.000 0.000

Peak list (12 most intense, 10° ≤ 2θ ≤ 80°, low angle first)
2theta  Rel. int.
26.1  83
26.2  33
28.8  25
31.1  100
33.4  58
34.7  99
35.7  24
37.8  24
38.7  34
57.0  26
57.2  26
61.5  34



[2]
The following is a simulated powder diffraction line list of DyHo3Sc2. It was derived from a DFT-relaxed cell (GGA-PBE, Alexandria), using Cu Kα.
Peak positions follow from Bragg's law for the DFT cell and can differ from measured ones.

Atomic structure:
Cell: 8.610 8.610 5.420 Å, 90.00 90.00 68.18°
Sites, in units of the cell vectors:
Dy 0.223 0.777 0.750
Dy 0.777 0.223 0.250
Ho 0.126 0.389 0.250
Ho 0.389 0.126 0.750
Ho 0.406 0.594 0.250
Ho 0.594 0.406 0.750
Ho 0.611 0.874 0.250
Ho 0.874 0.611 0.750
Sc 0.012 0.201 0.750
Sc 0.201 0.012 0.250
Sc 0.799 0.988 0.750
Sc 0.988 0.799 0.250

Peak list (12 most intense, 10° ≤ 2θ ≤ 80°, low angle first)
2theta  Rel. int.
24.7  70
25.0  54
33.0  95
35.4  100
37.6  13
39.4  13
41.9  28
51.2  11
54.2  14
57.7  20
60.6  21
62.3  12



[3]
The following is a simulated powder diffraction line list of Sr3AcSb2P. It was derived from a DFT-relaxed cell (GGA-PBE, Alexandria), using Cu Kα.
Peak positions follow from Bragg's law for the DFT cell and can differ from measured ones.

Atomic structure:
Cell: 9.492 9.492 9.492 Å, 145.86 144.54 50.04°
Sites, in units of the cell vectors:
Sr 0.000 0.000 0.000
Sr 0.177 0.677 0.500
Sr 0.823 0.323 0.500
Ac 0.500 0.500 0.000
Sb 0.369 0.869 0.500
Sb 0.631 0.131 0.500
P 0.000 0.500 0.500

Peak list (12 most intense, 10° ≤ 2θ ≤ 80°, low angle first)
2theta  Rel. int.
10.3  34
16.2  18
22.2  15
24.5  69
30.5  100
30.9  34
31.2  18
32.1  31
44.0  17
45.2  24
54.7  15
56.2  18



[4]
The following is a simulated powder diffraction line list of Pr2AgPd. It was derived from a DFT-relaxed cell (GGA-PBE, Alexandria), using Cu Kα.
Peak positions follow from Bragg's law for the DFT cell and can differ from measured ones.

Atomic structure:
Cell: 5.939 4.828 7.876 Å, 90.00 109.86 90.00°
Sites, in units of the cell vectors:
Pr 0.214 0.250 0.433
Pr 0.232 0.250 0.928
Pr 0.768 0.750 0.072
Pr 0.786 0.750 0.567
Ag 0.333 0.750 0.212
Ag 0.667 0.250 0.788
Pd 0.344 0.750 0.708
Pd 0.656 0.250 0.292

Peak list (12 most intense, 10° ≤ 2θ ≤ 80°, low angle first)
2theta  Rel. int.
30.3  86
30.4  85
32.0  47
33.0  21
33.3  21
37.2  100
38.0  59
38.3  58
46.1  32
49.9  27
60.7  28
62.9  21



[5]
The following is a simulated powder diffraction line list of TlGeB2F8. It was derived from a DFT-relaxed cell (GGA-PBE, Alexandria), using Cu Kα.
Peak positions follow from Bragg's law for the DFT cell and can differ from measured ones.

Atomic structure:
Cell: 9.860 9.860 9.860 Å, 28.72 28.72 28.72°
Sites, in units of the cell vectors:
Tl 0.000 0.000 0.000
Ge 0.500 0.500 0.500
B 0.253 0.253 0.253
B 0.747 0.747 0.747
F 0.046 0.746 0.497
F 0.254 0.503 0.954
F 0.303 0.303 0.303
F 0.497 0.046 0.746
F 0.503 0.954 0.254
F 0.697 0.697 0.697
F 0.746 0.497 0.046
F 0.954 0.254 0.503

Peak list (12 most intense, 10° ≤ 2θ ≤ 80°, low angle first)
2theta  Rel. int.
18.8  14
21.2  14
21.9  44
24.5  100
33.0  32
36.7  25
38.0  31
38.2  22
41.6  46
43.2  14
44.7  13
54.0  25



[6]
The following is a simulated powder diffraction line list of ZnReHI. It was derived from a DFT-relaxed cell (GGA-PBE, Alexandria), using Cu Kα.
Peak positions follow from Bragg's law for the DFT cell and can differ from measured ones.

Atomic structure:
Cell: 3.303 3.386 6.681 Å, 101.02 90.22 90.00°
Sites, in units of the cell vectors:
Zn 0.000 0.000 0.000
Re 0.499 0.429 0.810
H 0.498 0.895 0.719
I 0.996 0.314 0.490

Peak list (12 most intense, 10° ≤ 2θ ≤ 80°, low angle first)
2theta  Rel. int.
13.5  100
26.8  43
27.7  39
30.3  52
38.4  21
38.6  35
38.8  34
39.0  38
42.3  17
42.6  22
42.7  22
45.1  22



[7]
The following is a simulated powder diffraction line list of Ho4TeRu. It was derived from a DFT-relaxed cell (GGA-PBE, Alexandria), using Cu Kα.
Peak positions follow from Bragg's law for the DFT cell and can differ from measured ones.

Atomic structure:
Cell: 8.080 4.003 19.371 Å, 90.00 90.00 90.00°
Sites, in units of the cell vectors:
Ho 0.003 0.250 0.068
Ho 0.047 0.750 0.214
Ho 0.137 0.750 0.644
Ho 0.142 0.750 0.454
Ho 0.358 0.250 0.954
Ho 0.363 0.250 0.144
Ho 0.453 0.250 0.714
Ho 0.497 0.750 0.568
Ho 0.503 0.250 0.432
Ho 0.547 0.750 0.286
Ho 0.637 0.750 0.856
Ho 0.642 0.750 0.046
Ho 0.858 0.250 0.546
Ho 0.863 0.250 0.356
Ho 0.953 0.250 0.786
Ho 0.997 0.750 0.932
Te 0.245 0.250 0.309
Te 0.255 0.750 0.809
Te 0.745 0.250 0.191
Te 0.755 0.750 0.691
Ru 0.245 0.250 0.550
Ru 0.255 0.750 0.050
Ru 0.745 0.250 0.950
Ru 0.755 0.750 0.450

Peak list (12 most intense, 10° ≤ 2θ ≤ 80°, low angle first)
2theta  Rel. int.
31.0  100
31.5  39
32.0  30
32.2  37
33.6  36
34.3  28
34.5  70
38.2  27
39.3  21
40.6  15
45.3  36
57.6  21



[8]
The following is a simulated powder diffraction line list of Sm4ThSc2. It was derived from a DFT-relaxed cell (GGA-PBE, Alexandria), using Cu Kα.
Peak positions follow from Bragg's law for the DFT cell and can differ from measured ones.

Atomic structure:
Cell: 3.527 7.638 8.218 Å, 90.00 90.00 90.00°
Sites, in units of the cell vectors:
Sm 0.000 0.226 0.220
Sm 0.000 0.226 0.780
Sm 0.000 0.774 0.220
Sm 0.000 0.774 0.780
Th 0.500 0.500 0.500
Sc 0.500 0.000 0.500
Sc 0.500 0.500 0.000

Peak list (12 most intense, 10° ≤ 2θ ≤ 80°, low angle first)
2theta  Rel. int.
24.6  26
25.7  27
27.5  23
27.9  20
32.0  100
32.7  20
33.5  94
34.6  89
48.4  25
57.2  28
59.5  28
62.3  40